No. 1
Structure and simulated powder XRD pattern of DyCd3In (the PBE geometry in Alexandria; Cu Kα X-rays).
Lines closer than 0.1° are merged.

Main lines, by angle (2θ from 10° to 80°):
2θ 31.77, I 31
2θ 33.67, I 100
2θ 35.24, I 26
2θ 35.59, I 27
2θ 36.33, I 90
2θ 36.90, I 51
2θ 48.75, I 24
2θ 67.79, I 28

Cell and atoms:
a = 15.9730 Å, b = 15.9730 Å, c = 3.3342 Å
α = 90.00°, β = 90.00°, γ = 162.46°
Atoms (fractional coordinates):
Dy 0.1778 0.8222 0.0000
Dy 0.8222 0.1778 0.0000
Cd 0.0783 0.9217 0.5000
Cd 0.2717 0.7283 0.5000
Cd 0.4544 0.5456 0.0000
Cd 0.5456 0.4544 0.0000
Cd 0.7283 0.2717 0.5000
Cd 0.9217 0.0783 0.5000
In 0.3655 0.6345 0.5000
In 0.6345 0.3655 0.5000

***

No. 2
Structure and simulated powder XRD pattern of Zn3AgIr (the PBE geometry in Alexandria; Cu Kα X-rays).
Lines closer than 0.1° are merged.

Main lines, by angle (2θ from 10° to 80°):
2θ 13.62, I 36
2θ 17.19, I 25
2θ 23.32, I 28
2θ 38.17, I 43
2θ 39.84, I 100
2θ 40.74, I 22
2θ 41.68, I 32
2θ 46.89, I 48

Cell and atoms:
a = 7.0818 Å, b = 7.0818 Å, c = 4.7118 Å
α = 90.00°, β = 90.00°, γ = 133.24°
Atoms (fractional coordinates):
Zn 0.0000 0.0000 0.0000
Zn 0.0000 0.0000 0.5000
Zn 0.0713 0.4054 0.2500
Zn 0.4054 0.0713 0.7500
Zn 0.5946 0.9287 0.2500
Zn 0.9287 0.5946 0.7500
Ag 0.3580 0.6420 0.7500
Ag 0.6420 0.3580 0.2500
Ir 0.1703 0.8297 0.2500
Ir 0.8297 0.1703 0.7500

***

No. 3
Structure and simulated powder XRD pattern of ZrMn3Rh4 (the PBE geometry in Alexandria; Cu Kα X-rays).
Lines closer than 0.1° are merged.

Main lines, by angle (2θ from 10° to 80°):
2θ 20.13, I 2
2θ 28.61, I 7
2θ 35.23, I 1
2θ 40.91, I 100
2θ 50.68, I 2
2θ 59.23, I 16
2θ 67.08, I 3
2θ 74.50, I 32

Cell and atoms:
a = 6.2398 Å, b = 6.2398 Å, c = 6.2398 Å
α = 90.00°, β = 90.00°, γ = 90.00°
Atoms (fractional coordinates):
Zr 0.0000 0.0000 0.0000
Zr 0.5000 0.5000 0.5000
Mn 0.0000 0.0000 0.5000
Mn 0.0000 0.5000 0.0000
Mn 0.0000 0.5000 0.5000
Mn 0.5000 0.0000 0.0000
Mn 0.5000 0.0000 0.5000
Mn 0.5000 0.5000 0.0000
Rh 0.2500 0.2500 0.2500
Rh 0.2500 0.2500 0.7500
Rh 0.2500 0.7500 0.2500
Rh 0.2500 0.7500 0.7500
Rh 0.7500 0.2500 0.2500
Rh 0.7500 0.2500 0.7500
Rh 0.7500 0.7500 0.2500
Rh 0.7500 0.7500 0.7500